(1)
Starting from a PBE-relaxed structure, the X-ray powder pattern of K2TeSO10 was calculated for a wavelength of 1.5418 Å.

Principal peaks in the range 2θ from 15° to 90°, in order of falling intensity:
Position (°2θ)  I_rel
23.46  100
24.86  89
24.64  85
25.49  82
16.16  81
26.29  79

a b c (Å): 6.1397 6.9173 12.9015
angles (deg): 82.89 80.59 65.12
Atoms (fractional coordinates):
K 0.0529 0.1133 0.1555
K 0.3039 0.4067 0.3609
K 0.6961 0.5933 0.6391
K 0.9471 0.8867 0.8445
Te 0.0000 0.0000 0.5000
Te 0.5000 0.5000 0.0000
S 0.3170 0.2418 0.7492
S 0.6830 0.7582 0.2508
O 0.0592 0.2267 0.5481
O 0.1083 0.4500 0.7620
O 0.1549 0.0659 0.3652
O 0.2038 0.7460 0.0305
O 0.2442 0.0798 0.7161
O 0.2672 0.3709 0.0339
O 0.2715 0.7637 0.5521
O 0.4287 0.1487 0.8473
O 0.4837 0.5893 0.8530
O 0.4982 0.2835 0.6670
O 0.5018 0.7165 0.3330
O 0.5163 0.4107 0.1470
O 0.5713 0.8513 0.1527
O 0.7285 0.2363 0.4479
O 0.7328 0.6291 0.9661
O 0.7558 0.9202 0.2839
O 0.7962 0.2540 0.9695
O 0.8451 0.9341 0.6348
O 0.8917 0.5500 0.2380
O 0.9408 0.7733 0.4519



(2)
Starting from a PBE-relaxed structure, the X-ray powder pattern of KTeS2O8 was calculated for a wavelength of 1.5418 Å.

Principal peaks in the range 2θ from 15° to 90°, in order of falling intensity:
Position (°2θ)  I_rel
28.79  100
22.92  87
20.62  37
36.11  35
46.82  27
41.55  21

a b c (Å): 4.9749 4.9749 8.9346
angles (deg): 90.00 90.00 120.00
Atoms (fractional coordinates):
K 0.0000 0.0000 0.0000
Te 0.0000 0.0000 0.5000
S 0.3333 0.6667 0.7401
S 0.6667 0.3333 0.2599
O 0.0664 0.3653 0.6833
O 0.2989 0.9336 0.6833
O 0.3333 0.6667 0.9038
O 0.3653 0.2989 0.3167
O 0.6347 0.7011 0.6833
O 0.6667 0.3333 0.0962
O 0.7011 0.0664 0.3167
O 0.9336 0.6347 0.3167



Copy entry 1 word for word.
Starting from a PBE-relaxed structure, the X-ray powder pattern of K2TeSO10 was calculated for a wavelength of 1.5418 Å.

Principal peaks in the range 2θ from 15° to 90°, in order of falling intensity:
Position (°2θ)  I_rel
23.46  100
24.86  89
24.64  85
25.49  82
16.16  81
26.29  79

a b c (Å): 6.1397 6.9173 12.9015
angles (deg): 82.89 80.59 65.12
Atoms (fractional coordinates):
K 0.0529 0.1133 0.1555
K 0.3039 0.4067 0.3609
K 0.6961 0.5933 0.6391
K 0.9471 0.8867 0.8445
Te 0.0000 0.0000 0.5000
Te 0.5000 0.5000 0.0000
S 0.3170 0.2418 0.7492
S 0.6830 0.7582 0.2508
O 0.0592 0.2267 0.5481
O 0.1083 0.4500 0.7620
O 0.1549 0.0659 0.3652
O 0.2038 0.7460 0.0305
O 0.2442 0.0798 0.7161
O 0.2672 0.3709 0.0339
O 0.2715 0.7637 0.5521
O 0.4287 0.1487 0.8473
O 0.4837 0.5893 0.8530
O 0.4982 0.2835 0.6670
O 0.5018 0.7165 0.3330
O 0.5163 0.4107 0.1470
O 0.5713 0.8513 0.1527
O 0.7285 0.2363 0.4479
O 0.7328 0.6291 0.9661
O 0.7558 0.9202 0.2839
O 0.7962 0.2540 0.9695
O 0.8451 0.9341 0.6348
O 0.8917 0.5500 0.2380
O 0.9408 0.7733 0.4519